# FeO4F2
Simulated powder diffraction line list, CuKα. Input: DFT lattice parameters and positions (GGA+U).
Kinematic intensities with the Lorentz-polarization factor, no thermal factor.

Main lines, low angle first (2θ from 10° to 90°):
| 2theta | d_spacing | I_rel | (hkl) |
| --- | --- | --- | --- |
| 14.30 | 6.195 | 69 | 0 1 0 |
| 15.91 | 5.569 | 27 | 1 1 0 |
| 21.17 | 4.197 | 45 | 2 0 1 |
| 22.54 | 3.944 | 100 | 1 1 1 |
| 25.47 | 3.498 | 17 | 3 1 0 |
| 25.64 | 3.474 | 52 | 2 1 1 |
| 29.69 | 3.009 | 39 | 1 2 0 |
| 32.41 | 2.763 | 49 | 4 0 1 |
| 41.36 | 2.183 | 25 | 3 1 2 |
| 41.66 | 2.168 | 18 | 5 1 1 |
| 43.11 | 2.098 | 20 | 4 0 2 |
| 49.13 | 1.855 | 23 | 3 3 0 |

Crystal structure
```
data_FeO4F2
_chemical_formula_sum 'Fe4 O16 F8'
_cell_length_a 12.7129
_cell_length_b 6.1950
_cell_length_c 5.5873
_cell_angle_alpha 90.00
_cell_angle_beta 90.00
_cell_angle_gamma 90.00
_symmetry_space_group_name_H-M 'P c a 21'
_symmetry_Int_Tables_number 29
_symmetry_space_group_name_Hall 'P 2c -2ac'
loop_
_atom_site_label
_atom_site_type_symbol
_atom_site_fract_x
_atom_site_fract_y
_atom_site_fract_z
_atom_site_occupancy
Fe1 Fe 0.0914 0.1167 0.0000 1
O1 O 0.1375 0.6587 0.6178 1
O2 O 0.1928 0.5574 0.4757 1
O3 O 0.2060 0.0188 0.2453 1
O4 O 0.2080 0.1375 0.7358 1
F1 F 0.0006 0.0299 0.7331 1
F2 F 0.0821 0.4016 0.0498 1
```